1.
Pm2NdAu3: theoretical powder XRD pattern (Cu Ka), based on a cell relaxed with GGA-PBE.
No peak broadening, texture or thermal motion is included.

Main lines, in order of rising 2θ (10° ≤ 2θ ≤ 80°):
Position (°2θ), intensity
24.1, 25
34.2, 1000
34.4, 494
42.3, 13
48.9, 92
49.4, 179
61.1, 189
61.5, 373
72.1, 117
72.5, 58

Structural model:
```
data_Pm2NdAu3
_cell_length_a 3.689
_cell_length_b 3.689
_cell_length_c 11.175
_cell_angle_alpha 90.00
_cell_angle_beta 90.00
_cell_angle_gamma 90.00
_space_group_name_H-M_alt 'P 1'
_space_group_IT_number 1
_space_group_name_Hall 'P 1'
loop_
_atom_site_label
_atom_site_type_symbol
_atom_site_fract_x
_atom_site_fract_y
_atom_site_fract_z
Pm1 Pm 0.000 0.000 0.166
Pm2 Pm 0.000 0.000 0.834
Nd1 Nd 0.000 0.000 0.500
Au1 Au 0.500 0.500 0.000
Au2 Au 0.500 0.500 0.330
Au3 Au 0.500 0.500 0.670
```

2.
Pm2NdAu8: theoretical powder XRD pattern (Cu Ka), based on a cell relaxed with GGA-PBE.
No peak broadening, texture or thermal motion is included.

Main lines, in order of rising 2θ (10° ≤ 2θ ≤ 80°):
Position (°2θ), intensity
33.9, 934
34.2, 461
34.4, 958
35.1, 339
36.2, 377
37.6, 927
37.8, 358
38.4, 1000
44.8, 338
67.9, 422

Structural model:
```
data_Pm2NdAu8
_cell_length_a 8.660
_cell_length_b 8.660
_cell_length_c 5.247
_cell_angle_alpha 107.60
_cell_angle_beta 107.60
_cell_angle_gamma 124.59
_space_group_name_H-M_alt 'P 1'
_space_group_IT_number 1
_space_group_name_Hall 'P 1'
loop_
_atom_site_label
_atom_site_type_symbol
_atom_site_fract_x
_atom_site_fract_y
_atom_site_fract_z
Pm1 Pm 0.185 0.815 0.000
Pm2 Pm 0.815 0.185 0.000
Nd1 Nd 0.500 0.500 0.500
Au1 Au 0.000 0.000 0.250
Au2 Au 0.000 0.000 0.750
Au3 Au 0.140 0.404 0.771
Au4 Au 0.299 0.701 0.500
Au5 Au 0.404 0.140 0.771
Au6 Au 0.596 0.860 0.229
Au7 Au 0.701 0.299 0.500
Au8 Au 0.860 0.596 0.229
```

Repeat the first record exactly.
Pm2NdAu3: theoretical powder XRD pattern (Cu Ka), based on a cell relaxed with GGA-PBE.
No peak broadening, texture or thermal motion is included.

Main lines, in order of rising 2θ (10° ≤ 2θ ≤ 80°):
Position (°2θ), intensity
24.1, 25
34.2, 1000
34.4, 494
42.3, 13
48.9, 92
49.4, 179
61.1, 189
61.5, 373
72.1, 117
72.5, 58

Structural model:
```
data_Pm2NdAu3
_cell_length_a 3.689
_cell_length_b 3.689
_cell_length_c 11.175
_cell_angle_alpha 90.00
_cell_angle_beta 90.00
_cell_angle_gamma 90.00
_space_group_name_H-M_alt 'P 1'
_space_group_IT_number 1
_space_group_name_Hall 'P 1'
loop_
_atom_site_label
_atom_site_type_symbol
_atom_site_fract_x
_atom_site_fract_y
_atom_site_fract_z
Pm1 Pm 0.000 0.000 0.166
Pm2 Pm 0.000 0.000 0.834
Nd1 Nd 0.000 0.000 0.500
Au1 Au 0.500 0.500 0.000
Au2 Au 0.500 0.500 0.330
Au3 Au 0.500 0.500 0.670
```

What did the second record say?
Pm2NdAu8: theoretical powder XRD pattern (Cu Ka), based on a cell relaxed with GGA-PBE.
No peak broadening, texture or thermal motion is included.

Main lines, in order of rising 2θ (10° ≤ 2θ ≤ 80°):
Position (°2θ), intensity
33.9, 934
34.2, 461
34.4, 958
35.1, 339
36.2, 377
37.6, 927
37.8, 358
38.4, 1000
44.8, 338
67.9, 422

Structural model:
```
data_Pm2NdAu8
_cell_length_a 8.660
_cell_length_b 8.660
_cell_length_c 5.247
_cell_angle_alpha 107.60
_cell_angle_beta 107.60
_cell_angle_gamma 124.59
_space_group_name_H-M_alt 'P 1'
_space_group_IT_number 1
_space_group_name_Hall 'P 1'
loop_
_atom_site_label
_atom_site_type_symbol
_atom_site_fract_x
_atom_site_fract_y
_atom_site_fract_z
Pm1 Pm 0.185 0.815 0.000
Pm2 Pm 0.815 0.185 0.000
Nd1 Nd 0.500 0.500 0.500
Au1 Au 0.000 0.000 0.250
Au2 Au 0.000 0.000 0.750
Au3 Au 0.140 0.404 0.771
Au4 Au 0.299 0.701 0.500
Au5 Au 0.404 0.140 0.771
Au6 Au 0.596 0.860 0.229
Au7 Au 0.701 0.299 0.500
Au8 Au 0.860 0.596 0.229
```

What did the first record say?
Pm2NdAu3: theoretical powder XRD pattern (Cu Ka), based on a cell relaxed with GGA-PBE.
No peak broadening, texture or thermal motion is included.

Main lines, in order of rising 2θ (10° ≤ 2θ ≤ 80°):
Position (°2θ), intensity
24.1, 25
34.2, 1000
34.4, 494
42.3, 13
48.9, 92
49.4, 179
61.1, 189
61.5, 373
72.1, 117
72.5, 58

Structural model:
```
data_Pm2NdAu3
_cell_length_a 3.689
_cell_length_b 3.689
_cell_length_c 11.175
_cell_angle_alpha 90.00
_cell_angle_beta 90.00
_cell_angle_gamma 90.00
_space_group_name_H-M_alt 'P 1'
_space_group_IT_number 1
_space_group_name_Hall 'P 1'
loop_
_atom_site_label
_atom_site_type_symbol
_atom_site_fract_x
_atom_site_fract_y
_atom_site_fract_z
Pm1 Pm 0.000 0.000 0.166
Pm2 Pm 0.000 0.000 0.834
Nd1 Nd 0.000 0.000 0.500
Au1 Au 0.500 0.500 0.000
Au2 Au 0.500 0.500 0.330
Au3 Au 0.500 0.500 0.670
```